[1]
Starting from a PBE-relaxed structure, the powder XRD pattern of RbZn2N was calculated for Cu Kα, 1.54184 Å.

Atomic structure:
Cell lengths 9.2947, 9.2947, 9.2947 Å; angles 90.00, 90.00, 90.00 degrees
Space group Fd-3m (No. 227, origin choice 2)
Inequivalent atoms, fractional coordinates:
Rb  0.1250  0.1250  0.1250 (multiplicity 8)
Zn  0.0000  0.0000  0.5000 (multiplicity 16)
N  0.1250  0.1250  0.6250 (multiplicity 8)

Most intense lines, 10 to 90 degrees two-theta, in order of rising 2θ:
3.286 Å, rel. 52, hkl 2 2 0
2.802 Å, rel. 100, hkl 3 1 1
2.683 Å, rel. 40, hkl 2 2 2
1.789 Å, rel. 35, hkl 5 1 1
1.643 Å, rel. 37, hkl 4 4 0
1.210 Å, rel. 21, hkl 7 3 1

[2]
Starting from a PBE-relaxed structure, the powder XRD pattern of Sr3Li2Cd4 was calculated for Cu Kα, 1.54184 Å.

Atomic structure:
```
data_Sr3Li2Cd4
_chemical_formula_sum 'Sr6 Li4 Cd8'
_cell_length_a 11.7931
_cell_length_b 5.1111
_cell_length_c 9.6100
_cell_angle_alpha 90.00
_cell_angle_beta 109.77
_cell_angle_gamma 90.00
_symmetry_space_group_name_H-M 'C 1 2/m 1'
_symmetry_Int_Tables_number 12
loop_
_symmetry_equiv_pos_as_xyz
'x,y,z'
'-x,-y,-z'
'-x,y,-z'
'x,-y,z'
'x+1/2,y+1/2,z'
'-x+1/2,-y+1/2,-z'
'-x+1/2,y+1/2,-z'
'x+1/2,-y+1/2,z'
loop_
_atom_site_label
_atom_site_fract_x
_atom_site_fract_y
_atom_site_fract_z
Sr1 0.0000 0.0000 0.0000
Sr2 0.1377 0.5000 0.6928
Li1 0.1711 0.5000 0.3392
Cd1 0.0896 0.0000 0.4147
Cd2 0.2244 0.5000 0.0705
```

Most intense lines, 10 to 90 degrees two-theta, in order of rising 2θ:
3.110 Å, rel. 55, hkl 3 1 -1
3.032 Å, rel. 100, hkl 1 1 2
2.997 Å, rel. 28, hkl 3 1 0
2.947 Å, rel. 33, hkl 4 0 -1
2.556 Å, rel. 45, hkl 0 2 0
2.494 Å, rel. 64, hkl 3 1 -3

[3]
Starting from a PBE-relaxed structure, the powder XRD pattern of Cu4PtO5 was calculated for Cu Kα, 1.54184 Å.

Atomic structure:
```
data_Cu4PtO5
_chemical_formula_sum 'Cu8 Pt2 O10'
_cell_length_a 4.2486
_cell_length_b 5.1895
_cell_length_c 10.7041
_cell_angle_alpha 90.00
_cell_angle_beta 100.15
_cell_angle_gamma 90.00
_symmetry_space_group_name_H-M 'P 1 2/m 1'
_symmetry_Int_Tables_number 10
loop_
_symmetry_equiv_pos_as_xyz
'x,y,z'
'-x,-y,-z'
'-x,y,-z'
'x,-y,z'
loop_
_atom_site_label
_atom_site_fract_x
_atom_site_fract_y
_atom_site_fract_z
Cu1 0.0000 0.0000 0.0000
Cu2 0.0754 0.5000 0.1996
Cu3 0.2054 0.0000 0.3969
Cu4 0.4047 0.0000 0.8077
Cu5 0.5000 0.5000 0.0000
Pt1 0.3061 0.5000 0.6059
O1 0.0000 0.2443 0.5000
O2 0.2062 0.2493 0.9048
O3 0.3890 0.2467 0.2908
```

Most intense lines, 10 to 90 degrees two-theta, in order of rising 2θ:
2.614 Å, rel. 100, hkl 1 1 2
2.595 Å, rel. 33, hkl 0 2 0
2.570 Å, rel. 94, hkl 1 1 -3
2.107 Å, rel. 20, hkl 0 0 5
1.643 Å, rel. 32, hkl 2 2 -1
1.636 Å, rel. 31, hkl 0 2 5